For Li5Mn2P2C2O14, a PBE+U-relaxed structure gives the calculated powder X-ray diffraction pattern in this record (a wavelength of 1.5418 Å).
Neutral-atom scattering factors, no anomalous dispersion.

Cell and atoms:
```
data_Li5Mn2P2C2O14
_symmetry_space_group_name_H-M 'P 1 21/m 1'
_symmetry_Int_Tables_number 11
_cell_length_a 5.093
_cell_length_b 6.501
_cell_length_c 16.943
_cell_angle_alpha 90.00
_cell_angle_beta 94.52
_cell_angle_gamma 90.00
loop_
_symmetry_equiv_pos_as_xyz
'x,y,z'
'-x,-y,-z'
'-x,y+1/2,-z'
'x,-y+1/2,z'
loop_
_atom_site_label
_atom_site_fract_x
_atom_site_fract_y
_atom_site_fract_z
Li1 0.240 0.250 0.299
Li2 0.250 0.501 0.625
Li3 0.252 0.528 0.118
Mn1 0.206 0.750 0.922
Mn2 0.224 0.750 0.420
P1 0.273 0.250 0.958
P2 0.279 0.250 0.459
C1 0.288 0.750 0.768
C2 0.301 0.750 0.273
O1 0.044 0.750 0.782
O2 0.071 0.750 0.303
O3 0.159 0.060 0.913
O4 0.175 0.250 0.542
O5 0.179 0.065 0.407
O6 0.190 0.250 0.045
O7 0.322 0.750 0.200
O8 0.363 0.750 0.696
O9 0.413 0.750 0.531
O10 0.419 0.750 0.037
O11 0.468 0.750 0.828
O12 0.496 0.250 0.674
```

Largest 6 diffraction maxima, by intensity, 2θ from 10° to 80°:
hkl 0 0 2, 2θ 10.5, intensity 1000
hkl 0 2 0, 2θ 27.4, intensity 898
hkl 1 0 2, 2θ 21.1, intensity 423
hkl 1 0 -4, 2θ 26.4, intensity 369
hkl 1 0 -2, 2θ 19.7, intensity 304
hkl 0 1 2, 2θ 17.2, intensity 276

***

For Sr2Ca6TiMn7O24, a PBE+U-relaxed structure gives the calculated powder X-ray diffraction pattern in this record (a wavelength of 1.5418 Å).
Neutral-atom scattering factors, no anomalous dispersion.

Cell and atoms:
```
data_Sr2Ca6TiMn7O24
_symmetry_space_group_name_H-M 'A m m 2'
_symmetry_Int_Tables_number 38
_cell_length_a 7.658
_cell_length_b 10.832
_cell_length_c 10.835
_cell_angle_alpha 90.00
_cell_angle_beta 90.00
_cell_angle_gamma 90.00
loop_
_symmetry_equiv_pos_as_xyz
'x,y,z'
'-x,-y,z'
'-x,y,z'
'x,-y,z'
'x,y+1/2,z+1/2'
'-x,-y+1/2,z+1/2'
'-x,y+1/2,z+1/2'
'x,-y+1/2,z+1/2'
loop_
_atom_site_label
_atom_site_fract_x
_atom_site_fract_y
_atom_site_fract_z
Sr1 0.249 0.000 0.000
Ca1 0.247 0.000 0.496
Ca2 0.247 0.247 0.249
Ti1 0.500 0.000 0.745
Mn1 0.000 0.000 0.250
Mn2 0.000 0.000 0.747
Mn3 0.000 0.249 0.498
Mn4 0.500 0.000 0.250
Mn5 0.500 0.249 0.498
O1 0.000 0.124 0.374
O2 0.000 0.124 0.623
O3 0.000 0.128 0.127
O4 0.000 0.129 0.870
O5 0.247 0.000 0.746
O6 0.250 0.000 0.253
O7 0.250 0.246 0.499
O8 0.500 0.124 0.374
O9 0.500 0.125 0.621
O10 0.500 0.128 0.873
O11 0.500 0.129 0.127
```

Largest 6 diffraction maxima, by intensity, 2θ from 10° to 80°:
hkl 2 2 2, 2θ 33.1, intensity 1000
hkl 4 0 0, 2θ 47.5, intensity 480
hkl 2 6 2, 2θ 59.1, intensity 355
hkl 4 4 4, 2θ 69.4, intensity 257
hkl 6 2 2, 2θ 79.1, intensity 147
hkl 2 0 4, 2θ 40.8, intensity 94